Record 1
Simulated X-ray powder pattern of Pa2N3 for a wavelength of 1.5418 Å, from a DFT-relaxed cell (PBE, Alexandria).
No peak broadening, texture or thermal motion is included.

Crystal structure
abc: 4.3278 4.3278 4.3278
angles: 83.09 83.09 83.09
Fractional positions:
1 Pa 0.2054 0.2054 0.2054
2 Pa 0.7946 0.7946 0.7946
3 N 0.0000 0.2904 0.7096
4 N 0.2904 0.7096 0.0000
5 N 0.7096 0.0000 0.2904

Top 10 peaks for 5 to 70 degrees two-theta, sorted by position:
- 20.8°, I 25
- 27.9°, I 99
- 31.2°, I 100
- 32.2°, I 14
- 42.3°, I 36
- 45.4°, I 49
- 53.5°, I 36
- 55.5°, I 25
- 58.3°, I 19
- 65.0°, I 13

---

Record 2
Simulated X-ray powder pattern of Pa3N5 for a wavelength of 1.5418 Å, from a DFT-relaxed cell (PBE, Alexandria).
No peak broadening, texture or thermal motion is included.

Crystal structure
abc: 9.9922 7.0781 6.3249
angles: 90.00 90.00 90.00
Fractional positions:
1 Pa 0.0032 0.2500 0.0402
2 Pa 0.1761 0.0032 0.4824
3 Pa 0.1761 0.4968 0.4824
4 Pa 0.3239 0.5032 0.9824
5 Pa 0.3239 0.9968 0.9824
6 Pa 0.4968 0.7500 0.5402
7 Pa 0.5032 0.2500 0.4598
8 Pa 0.6761 0.0032 0.0176
9 Pa 0.6761 0.4968 0.0176
10 Pa 0.8239 0.5032 0.5176
11 Pa 0.8239 0.9968 0.5176
12 Pa 0.9968 0.7500 0.9598
13 N 0.0145 0.2500 0.4652
14 N 0.1084 0.5181 0.1434
15 N 0.1084 0.9819 0.1434
16 N 0.2067 0.2500 0.8570
17 N 0.2110 0.7500 0.8255
18 N 0.2890 0.2500 0.3255
19 N 0.2933 0.7500 0.3570
20 N 0.3916 0.0181 0.6434
21 N 0.3916 0.4819 0.6434
22 N 0.4855 0.7500 0.9652
23 N 0.5145 0.2500 0.0348
24 N 0.6084 0.5181 0.3566
25 N 0.6084 0.9819 0.3566
26 N 0.7067 0.2500 0.6430
27 N 0.7110 0.7500 0.6745
28 N 0.7890 0.2500 0.1745
29 N 0.7933 0.7500 0.1430
30 N 0.8916 0.0181 0.8566
31 N 0.8916 0.4819 0.8566
32 N 0.9855 0.7500 0.5348

Top 10 peaks for 5 to 70 degrees two-theta, sorted by position:
- 28.2°, I 34
- 30.3°, I 100
- 31.0°, I 31
- 42.4°, I 27
- 44.4°, I 8
- 51.3°, I 21
- 51.7°, I 9
- 54.7°, I 18
- 59.9°, I 9
- 61.1°, I 16